Record 1
Starting from the GGA-PBE geometry in Alexandria, the XRD peak list of Mn2CoH6 was computed for CuKα.
Intensities are scaled so that the largest is 100.

Crystal structure
Lattice parameters (Å, degrees): 4.484 4.256 7.576 90.00 124.49 90.00
Space group P2_1/c (No. 14)
Asymmetric unit:
Mn1 0.223 0.033 0.234 x4
Co1 0.500 0.000 0.000 x2
H1 0.180 0.217 0.967 x4
H2 0.217 0.718 0.934 x4
H3 0.355 0.037 0.754 x4

The 8 most intense peaks (10° ≤ 2θ ≤ 90°), low angle first:
Position (°2θ)	I (rel.)	hkl
24.81	24	1 0 -2
25.33	73	0 1 1
40.24	54	2 0 -2
40.66	100	1 1 1
41.58	96	1 1 -3
42.48	42	0 2 0
59.95	29	2 2 -2
72.78	22	3 1 -1


Record 2
Starting from the GGA-PBE geometry in Alexandria, the XRD peak list of PmDyNiAu was computed for CuKα.
Intensities are scaled so that the largest is 100.

Crystal structure
Lattice parameters (Å, degrees): 4.597 3.843 10.485 90.00 90.00 90.00
Space group Amm2 (No. 38)
Asymmetric unit:
Pm1 0.000 0.000 0.000 x2
Dy1 0.500 0.000 0.280 x2
Ni1 0.000 0.000 0.724 x2
Au1 0.500 0.000 0.566 x2

The 8 most intense peaks (10° ≤ 2θ ≤ 90°), low angle first:
Position (°2θ)	I (rel.)	hkl
31.52	100	1 1 1
34.21	23	0 0 4
34.69	31	0 1 3
39.19	32	2 0 0
39.58	25	1 0 4
40.01	63	1 1 3
47.30	19	0 2 0
53.33	18	2 1 3


Record 3
Starting from the GGA-PBE geometry in Alexandria, the XRD peak list of Na8Tl6In was computed for CuKα.
Intensities are scaled so that the largest is 100.

Crystal structure
Lattice parameters (Å, degrees): 9.2074 9.2074 19.7297 90.00 90.00 120.00
Space group R-3 (No. 148, hexagonal axes)
Asymmetric unit:
Na1 0.0000 0.0000 0.1659 x6
Na2 0.0008 0.6701 0.7151 x18
Tl1 0.0008 0.6761 0.5467 x18
In1 0.0000 0.0000 0.5000 x3

The 8 most intense peaks (10° ≤ 2θ ≤ 90°), low angle first:
Position (°2θ)	I (rel.)	hkl
13.46	73	0 0 3
19.28	35	1 1 0
23.59	88	2 -1 3
33.49	100	1 1 6
33.72	80	3 0 0
36.46	40	3 0 3
48.26	36	4 -2 6
60.17	36	4 1 6